This entry pairs a crystal structure of Y4Ho3S8 with its theoretical X-ray diffraction stick pattern. Radiation: Cu Kα X-rays. Structure: DFT lattice parameters and positions (GGA-PBE).

Peak list (8 most intense, 10° ≤ 2θ ≤ 80°, low angle first)
| 2θ/deg | d (Å) | I/Imax |
| --- | --- | --- |
| 16.09 | 5.507 | 17 |
| 22.84 | 3.894 | 15 |
| 28.06 | 3.180 | 52 |
| 32.52 | 2.754 | 100 |
| 46.65 | 1.947 | 70 |
| 55.33 | 1.660 | 26 |
| 58.01 | 1.590 | 24 |
| 77.52 | 1.231 | 31 |

Atomic structure:
```
Y4Ho3S8
1.0
5.507 -5.507 0.000
5.507 5.507 0.000
-5.503 0.000 5.508
Y Ho S
4 3 8
direct
0.000 0.000 0.000
0.000 0.500 0.000
0.500 0.000 0.000
0.500 0.500 0.500
0.000 0.500 0.500
0.500 0.000 0.500
0.500 0.500 0.000
0.249 0.751 0.500
0.250 0.250 0.502
0.250 0.250 0.997
0.251 0.749 0.000
0.749 0.251 0.000
0.750 0.750 0.003
0.750 0.750 0.498
0.751 0.249 0.500
```

This entry pairs a crystal structure of Y5Ho3S8 with its theoretical X-ray diffraction stick pattern. Radiation: Cu Kα X-rays. Structure: DFT lattice parameters and positions (GGA-PBE).

Peak list (8 most intense, 10° ≤ 2θ ≤ 80°, low angle first)
| 2θ/deg | d (Å) | I/Imax |
| --- | --- | --- |
| 27.98 | 3.189 | 60 |
| 32.41 | 2.762 | 100 |
| 46.50 | 1.953 | 71 |
| 55.14 | 1.666 | 29 |
| 57.82 | 1.595 | 24 |
| 67.86 | 1.381 | 11 |
| 74.93 | 1.267 | 11 |
| 77.23 | 1.235 | 31 |

Atomic structure:
```
Y5Ho3S8
1.0
3.905 2.255 6.382
-3.905 2.255 6.382
0.000 -4.509 6.382
Y Ho S
5 3 8
direct
0.000 0.000 0.000
0.000 0.500 0.500
0.500 0.000 0.500
0.500 0.500 0.000
0.500 0.500 0.500
0.000 0.000 0.500
0.000 0.500 0.000
0.500 0.000 0.000
0.248 0.750 0.750
0.249 0.249 0.249
0.250 0.250 0.752
0.250 0.752 0.250
0.750 0.248 0.750
0.750 0.750 0.248
0.751 0.751 0.751
0.752 0.250 0.250
```